1.
The following is a theoretical PXRD pattern of Sr2PaTe6. It was derived from a cell relaxed with PBE, using a wavelength of 1.5418 Å.

Most intense lines, 15 to 90 degrees two-theta, low angle first:
(1 3 1), d 3.174, rel. 69.7; (1 0 2), d 3.038, rel. 100.0; (0 5 1), d 3.015, rel. 35.0; (1 4 0), d 2.995, rel. 41.9; (1 2 2), d 2.844, rel. 62.4; (1 5 1), d 2.497, rel. 78.3; (0 3 3), d 2.463, rel. 68.5; (1 1 3), d 2.327, rel. 33.4; (2 0 0), d 2.228, rel. 47.0; (2 3 3), d 1.652, rel. 47.4

Atomic structure:
Cell: 4.4565 16.1791 8.3043 Å, 90.00 90.00 90.00°
Space group Amm2 (No. 38)
Inequivalent atoms, fractional coordinates:
Sr (0.0000, 0.1821, 0.0000) (multiplicity 4)
Pa (0.5000, 0.0000, 0.5569) (multiplicity 2)
Te (0.0000, 0.0000, 0.8140) (multiplicity 2)
Te (0.0000, 0.1112, 0.3932) (multiplicity 4)
Te (0.5000, 0.0000, 0.1856) (multiplicity 2)
Te (0.5000, 0.1927, 0.6888) (multiplicity 4)



2.
The following is a theoretical PXRD pattern of Pa4Ta. It was derived from a cell relaxed with PBE, using a wavelength of 1.5418 Å.

Most intense lines, 15 to 90 degrees two-theta, low angle first:
(1 0 0), d 5.306, rel. 15.1; (1 1 0), d 3.752, rel. 13.4; (1 1 1), d 3.063, rel. 87.3; (2 0 0), d 2.653, rel. 100.0; (2 2 0), d 1.876, rel. 74.1; (3 1 1), d 1.600, rel. 40.7; (2 2 2), d 1.532, rel. 26.0; (4 0 0), d 1.326, rel. 12.2; (3 3 1), d 1.217, rel. 17.0; (4 2 0), d 1.186, rel. 34.6

Atomic structure:
Cell: 5.3056 5.3056 5.3056 Å, 90.00 90.00 90.00°
Space group Pm-3m (No. 221)
Inequivalent atoms, fractional coordinates:
Pa (0.0000, 0.0000, 0.0000) (multiplicity 1)
Pa (0.0000, 0.5000, 0.5000) (multiplicity 3)
Ta (0.5000, 0.5000, 0.5000) (multiplicity 1)



3.
The following is a theoretical PXRD pattern of PaTa4Te8. It was derived from a cell relaxed with PBE, using a wavelength of 1.5418 Å.

Most intense lines, 15 to 90 degrees two-theta, low angle first:
(0 2 1), d 3.325, rel. 9.5; (0 2 4), d 2.836, rel. 100.0; (2 0 8), d 2.073, rel. 41.0; (2 2 0), d 1.944, rel. 33.5; (0 0 12), d 1.754, rel. 8.2; (4 0 4), d 1.604, rel. 17.8; (0 4 8), d 1.418, rel. 11.8; (2 2 12), d 1.302, rel. 17.8; (2 4 4), d 1.237, rel. 14.7; (4 2 8), d 1.146, rel. 11.7

Atomic structure:
Cell: 7.7763 7.7763 21.0466 Å, 90.00 90.00 120.00°
Space group R-3m (No. 166, hexagonal axes)
Inequivalent atoms, fractional coordinates:
Pa (0.0000, 0.0000, 0.0000) (multiplicity 3)
Ta (0.0000, 0.0000, 0.5000) (multiplicity 3)
Ta (0.0000, 0.5000, 0.5000) (multiplicity 9)
Te (0.0000, 0.0000, 0.2487) (multiplicity 6)
Te (0.0162, 0.5081, 0.2488) (multiplicity 18)



4.
The following is a theoretical PXRD pattern of TbPa2Tc2. It was derived from a cell relaxed with PBE, using a wavelength of 1.5418 Å.

Most intense lines, 15 to 90 degrees two-theta, low angle first:
(0 1 3), d 3.140, rel. 11.5; (0 2 0), d 2.671, rel. 33.6; (1 1 -3), d 2.479, rel. 100.0; (0 0 5), d 2.329, rel. 15.9; (0 2 5), d 1.755, rel. 13.6; (2 0 -1), d 1.750, rel. 9.7; (1 3 -3), d 1.502, rel. 21.5; (2 2 -1), d 1.464, rel. 10.8; (2 2 -6), d 1.239, rel. 8.7; (3 1 -4), d 1.107, rel. 8.4

Atomic structure:
Cell: 3.4998 5.3415 11.7776 Å, 90.00 98.54 90.00°
Space group P2_1/m (No. 11)
Inequivalent atoms, fractional coordinates:
Tb (0.1445, 0.2500, 0.2851) (multiplicity 2)
Pa (0.0501, 0.7500, 0.1004) (multiplicity 2)
Pa (0.2346, 0.7500, 0.4729) (multiplicity 2)
Tc (0.3553, 0.2500, 0.7120) (multiplicity 2)
Tc (0.4628, 0.7500, 0.9268) (multiplicity 2)



5.
The following is a theoretical PXRD pattern of TbPa3Tc4. It was derived from a cell relaxed with PBE, using a wavelength of 1.5418 Å.

Most intense lines, 15 to 90 degrees two-theta, low angle first:
(1 0 4), d 3.449, rel. 30.7; (1 1 0), d 2.454, rel. 100.0; (0 1 8), d 2.424, rel. 87.9; (2 0 8), d 1.725, rel. 31.6; (1 1 12), d 1.535, rel. 9.8; (3 0 0), d 1.417, rel. 18.1; (1 2 8), d 1.411, rel. 32.6; (1 0 16), d 1.394, rel. 12.3; (2 2 0), d 1.227, rel. 11.3; (3 1 8), d 1.095, rel. 15.2

Atomic structure:
Cell: 4.9084 4.9084 23.6110 Å, 90.00 90.00 120.00°
Space group R-3m (No. 166, hexagonal axes)
Inequivalent atoms, fractional coordinates:
Tb (0.0000, 0.0000, 0.0000) (multiplicity 3)
Pa (0.0000, 0.0000, 0.2520) (multiplicity 6)
Pa (0.0000, 0.0000, 0.5000) (multiplicity 3)
Tc (0.0000, 0.0000, 0.1319) (multiplicity 6)
Tc (0.0000, 0.0000, 0.3882) (multiplicity 6)



6.
The following is a theoretical PXRD pattern of TbPa2Tc3. It was derived from a cell relaxed with PBE, using a wavelength of 1.5418 Å.

Most intense lines, 15 to 90 degrees two-theta, low angle first:
(1 3 0), d 3.420, rel. 14.8; (2 0 0), d 2.610, rel. 30.9; (1 3 1), d 2.444, rel. 100.0; (0 6 0), d 2.263, rel. 18.4; (0 0 2), d 1.747, rel. 9.4; (2 6 0), d 1.710, rel. 15.6; (3 3 1), d 1.473, rel. 20.8; (2 0 2), d 1.452, rel. 10.2; (1 9 1), d 1.339, rel. 12.1; (2 6 2), d 1.222, rel. 11.1

Atomic structure:
Cell: 5.2206 13.5775 3.4945 Å, 90.00 90.00 90.00°
Space group Cmmm (No. 65)
Inequivalent atoms, fractional coordinates:
Tb (0.0000, 0.0000, 0.0000) (multiplicity 2)
Pa (0.0000, 0.3368, 0.0000) (multiplicity 4)
Tc (0.0000, 0.1854, 0.5000) (multiplicity 4)
Tc (0.0000, 0.5000, 0.5000) (multiplicity 2)



7.
The following is a theoretical PXRD pattern of TbPaTe4. It was derived from a cell relaxed with PBE, using a wavelength of 1.5418 Å.

Most intense lines, 15 to 90 degrees two-theta, low angle first:
(1 1 1), d 3.342, rel. 100.0; (2 1 -1), d 2.612, rel. 18.6; (2 0 -2), d 2.599, rel. 35.6; (2 0 2), d 2.574, rel. 9.4; (0 2 0), d 2.201, rel. 12.8; (0 1 3), d 2.172, rel. 24.2; (3 1 -1), d 2.026, rel. 18.7; (1 2 -2), d 1.837, rel. 12.2; (3 0 -4), d 1.482, rel. 9.9; (4 2 0), d 1.389, rel. 11.5

Atomic structure:
Cell: 7.1619 4.4022 7.4935 Å, 90.00 90.66 90.00°
Space group P2/m (No. 10)
Inequivalent atoms, fractional coordinates:
Tb (0.0000, 0.0000, 0.0000) (multiplicity 1)
Pa (0.0000, 0.5000, 0.5000) (multiplicity 1)
Te (0.2423, 0.5000, 0.1785) (multiplicity 2)
Te (0.2435, 0.0000, 0.6589) (multiplicity 2)



8.
The following is a theoretical PXRD pattern of Pa4Tc. It was derived from a cell relaxed with PBE, using a wavelength of 1.5418 Å.

Most intense lines, 15 to 90 degrees two-theta, low angle first:
(2 0 0), d 3.000, rel. 30.1; (2 0 2), d 2.733, rel. 14.2; (1 2 1), d 2.630, rel. 75.2; (1 1 4), d 2.612, rel. 100.0; (1 0 5), d 2.425, rel. 18.0; (2 1 3), d 2.294, rel. 43.4; (3 1 2), d 1.823, rel. 29.4; (3 2 1), d 1.651, rel. 18.5; (2 0 8), d 1.450, rel. 14.1; (1 5 2), d 1.158, rel. 17.9

Atomic structure:
Cell: 6.0006 6.0006 13.2545 Å, 90.00 90.00 90.00°
Space group I4_1/a (No. 88, origin choice 2)
Inequivalent atoms, fractional coordinates:
Pa (0.1447, 0.0104, 0.1917) (multiplicity 16)
Tc (0.0000, 0.2500, 0.6250) (multiplicity 4)



9.
The following is a theoretical PXRD pattern of Pa2Tc. It was derived from a cell relaxed with PBE, using a wavelength of 1.5418 Å.

Most intense lines, 15 to 90 degrees two-theta, low angle first:
(4 0 -2), d 2.753, rel. 65.1; (3 1 0), d 2.460, rel. 100.0; (2 0 2), d 2.355, rel. 40.7; (1 1 -2), d 2.324, rel. 82.9; (6 0 0), d 1.916, rel. 21.8; (0 2 0), d 1.604, rel. 14.3; (7 1 -2), d 1.563, rel. 23.3; (5 1 -4), d 1.460, rel. 20.1; (5 1 2), d 1.406, rel. 14.4; (4 2 -2), d 1.386, rel. 16.3

Atomic structure:
Cell: 12.6296 3.2084 6.8226 Å, 90.00 114.46 90.00°
Space group C2/m (No. 12)
Inequivalent atoms, fractional coordinates:
Pa (0.0067, 0.0000, 0.2831) (multiplicity 4)
Pa (0.1690, 0.5000, 0.0783) (multiplicity 4)
Tc (0.1877, 0.5000, 0.5846) (multiplicity 4)



10.
The following is a theoretical PXRD pattern of PaTc2. It was derived from a cell relaxed with PBE, using a wavelength of 1.5418 Å.

Most intense lines, 15 to 90 degrees two-theta, low angle first:
(1 1 0), d 2.586, rel. 100.0; (1 1 2), d 2.272, rel. 61.6; (2 0 0), d 2.241, rel. 8.3; (2 0 1), d 2.181, rel. 33.8; (1 0 5), d 1.749, rel. 7.8; (3 0 0), d 1.493, rel. 33.4; (2 0 5), d 1.449, rel. 21.4; (3 0 2), d 1.425, rel. 14.2; (2 2 0), d 1.293, rel. 19.8; (3 1 3), d 1.157, rel. 13.4

Atomic structure:
Cell: 5.1745 5.1745 9.4960 Å, 90.00 90.00 120.00°
Space group P6_3/mmc (No. 194)
Inequivalent atoms, fractional coordinates:
Pa (0.3333, 0.6667, 0.0623) (multiplicity 4)
Tc (0.0000, 0.0000, 0.0000) (multiplicity 2)
Tc (0.1695, 0.3389, 0.7500) (multiplicity 6)



11.
The following is a theoretical PXRD pattern of PaTc. It was derived from a cell relaxed with PBE, using a wavelength of 1.5418 Å.

Most intense lines, 15 to 90 degrees two-theta, low angle first:
(1 0 0), d 3.440, rel. 17.6; (1 1 0), d 2.432, rel. 100.0; (1 1 1), d 1.986, rel. 5.6; (2 0 0), d 1.720, rel. 17.7; (2 1 0), d 1.538, rel. 7.8; (2 1 1), d 1.404, rel. 36.3; (2 2 0), d 1.216, rel. 11.4; (3 0 0), d 1.147, rel. 4.1

Atomic structure:
Cell: 3.4396 3.4396 3.4396 Å, 90.00 90.00 90.00°
Space group Pm-3m (No. 221)
Inequivalent atoms, fractional coordinates:
Pa (0.0000, 0.0000, 0.0000) (multiplicity 1)
Tc (0.5000, 0.5000, 0.5000) (multiplicity 1)



12.
The following is a theoretical PXRD pattern of TmPaTc4. It was derived from a cell relaxed with PBE, using a wavelength of 1.5418 Å.

Most intense lines, 15 to 90 degrees two-theta, low angle first:
(1 1 1), d 4.395, rel. 5.0; (2 2 0), d 2.692, rel. 52.2; (3 1 1), d 2.295, rel. 100.0; (2 2 2), d 2.198, rel. 20.8; (4 2 2), d 1.554, rel. 20.3; (5 1 1), d 1.465, rel. 32.5; (4 4 0), d 1.346, rel. 24.8; (6 2 0), d 1.204, rel. 8.9; (5 3 3), d 1.161, rel. 11.5; (6 2 2), d 1.148, rel. 7.5

Atomic structure:
Cell: 7.6130 7.6130 7.6130 Å, 90.00 90.00 90.00°
Space group F-43m (No. 216)
Inequivalent atoms, fractional coordinates:
Tm (0.0000, 0.0000, 0.0000) (multiplicity 4)
Pa (0.2500, 0.2500, 0.2500) (multiplicity 4)
Tc (0.1253, 0.1253, 0.6253) (multiplicity 16)



What is the formula in the eighth record? Pa4Tc